For TbPr2Te2As2, a cell relaxed with GGA-PBE gives the calculated powder diffractogram in this record (Cu Kα (weighted mean of Kα1 and Kα2)).
Peak positions follow from Bragg's law for the DFT cell and can differ from measured ones.

Largest 8 diffraction maxima, sorted by position, 2θ from 10° to 90°:
h k l, 2theta, d_spacing, intensity
0 0 2, 11.14, 7.945, 19
1 1 0, 23.51, 3.784, 68
1 0 5, 32.76, 2.733, 100
2 0 0, 33.49, 2.675, 69
2 1 5, 47.57, 1.912, 62
2 2 0, 48.10, 1.892, 25
3 0 5, 59.41, 1.556, 20
3 2 5, 69.96, 1.345, 19

Crystal structure
a = 5.3509 Å, b = 5.3509 Å, c = 15.8907 Å
α = 90.00°, β = 90.00°, γ = 90.00°
Positions (direct):
Tb 0.0000 0.0000 0.0000
Tb 0.5000 0.5000 0.5000
Pr 0.0000 0.0000 0.3862
Pr 0.0000 0.0000 0.6138
Pr 0.5000 0.5000 0.1138
Pr 0.5000 0.5000 0.8862
Te 0.0000 0.0000 0.1913
Te 0.0000 0.0000 0.8087
Te 0.5000 0.5000 0.3087
Te 0.5000 0.5000 0.6913
As 0.0000 0.5000 0.0000
As 0.0000 0.5000 0.5000
As 0.5000 0.0000 0.0000
As 0.5000 0.0000 0.5000